1.
Starting from a crystal structure in the Materials Project, relaxed with GGA-PBE, the X-ray powder pattern of NbCr3Ag2S8 was computed for CuKα.
No peak broadening, texture or thermal motion is included.

Structural model:
```
data_NbCr3Ag2S8
_chemical_formula_sum 'Nb2 Cr6 Ag4 S16'
_cell_length_a 7.3506
_cell_length_b 10.1901
_cell_length_c 7.2866
_cell_angle_alpha 90.00
_cell_angle_beta 90.00
_cell_angle_gamma 90.00
_space_group_name_H-M_alt 'P 2 2 21'
_space_group_IT_number 17
loop_
_space_group_symop_operation_xyz
'x,y,z'
'-x,-y,z+1/2'
'x,-y,-z'
'-x,y,-z+1/2'
loop_
_atom_site_label
_atom_site_type_symbol
_atom_site_fract_x
_atom_site_fract_y
_atom_site_fract_z
Nb1 Nb 0.0404 0.0000 0.0000
Cr1 Cr 0.2535 0.2520 0.2438
Cr2 Cr 0.4960 0.5000 0.5000
Ag1 Ag 0.0000 0.3846 0.7500
Ag2 Ag 0.5000 0.1403 0.7500
S1 S 0.0049 0.2400 0.4706
S2 S 0.2330 0.0093 0.2621
S3 S 0.2838 0.4852 0.2466
S4 S 0.4954 0.2651 0.4639
```

Largest 10 diffraction maxima, low angle first, 10 to 90 degrees two-theta:
| 2θ (°) | I/Imax | hkl |
| --- | --- | --- |
| 24.2 | 28 | 2 0 0 |
| 24.5 | 100 | 1 2 1 |
| 28.6 | 71 | 2 1 1 |
| 28.7 | 90 | 1 1 2 |
| 29.0 | 79 | 1 3 0 |
| 45.5 | 35 | 3 1 2 |
| 45.6 | 41 | 2 1 3 |
| 46.2 | 32 | 1 5 0 |
| 50.1 | 25 | 0 0 4 |
| 50.3 | 98 | 2 4 2 |


2.
Starting from a crystal structure in the Materials Project, relaxed with GGA-PBE, the X-ray powder pattern of Mg4SiSn was computed for CuKα.
No peak broadening, texture or thermal motion is included.

Structural model:
```
data_Mg4SiSn
_chemical_formula_sum 'Mg12 Si3 Sn3'
_cell_length_a 4.6682
_cell_length_b 4.6682
_cell_length_c 22.7480
_cell_angle_alpha 90.00
_cell_angle_beta 90.00
_cell_angle_gamma 120.00
_space_group_name_H-M_alt 'R -3 m'
_space_group_IT_number 166
_space_group_name_Hall '-R 3 2"'
loop_
_atom_site_label
_atom_site_type_symbol
_atom_site_fract_x
_atom_site_fract_y
_atom_site_fract_z
Mg1 Mg 0.0000 0.0000 0.1216
Mg2 Mg 0.0000 0.0000 0.3719
Si1 Si 0.0000 0.0000 0.0000
Sn1 Sn 0.0000 0.0000 0.5000
```

Largest 10 diffraction maxima, low angle first, 10 to 90 degrees two-theta:
| 2θ (°) | I/Imax | hkl |
| --- | --- | --- |
| 11.7 | 48 | 0 0 3 |
| 22.3 | 38 | 1 0 1 |
| 23.4 | 100 | 0 1 2 |
| 23.5 | 33 | 0 0 6 |
| 29.6 | 24 | 0 1 5 |
| 38.6 | 76 | 1 1 0 |
| 38.7 | 75 | 0 1 8 |
| 45.6 | 50 | 2 0 2 |
| 55.8 | 25 | 2 0 8 |
| 69.9 | 39 | 3 0 0 |


3.
Starting from a crystal structure in the Materials Project, relaxed with GGA-PBE, the X-ray powder pattern of TiAlO3 was computed for CuKα.
No peak broadening, texture or thermal motion is included.

Structural model:
```
data_TiAlO3
_chemical_formula_sum 'Ti6 Al6 O18'
_cell_length_a 5.4885
_cell_length_b 5.4885
_cell_length_c 12.0398
_cell_angle_alpha 90.00
_cell_angle_beta 90.00
_cell_angle_gamma 120.00
_space_group_name_H-M_alt 'P 63 c m'
_space_group_IT_number 185
_space_group_name_Hall 'P 6c -2'
loop_
_atom_site_label
_atom_site_type_symbol
_atom_site_fract_x
_atom_site_fract_y
_atom_site_fract_z
Ti1 Ti 0.0000 0.3305 0.0000
Al1 Al 0.0000 0.0000 0.2500
Al2 Al 0.3333 0.6667 0.2510
O1 O 0.0000 0.0000 0.4687
O2 O 0.0000 0.3168 0.1753
O3 O 0.0000 0.3555 0.8267
O4 O 0.3333 0.6667 0.0174
```

Largest 10 diffraction maxima, low angle first, 10 to 90 degrees two-theta:
| 2θ (°) | I/Imax | hkl |
| --- | --- | --- |
| 14.7 | 12 | 0 0 2 |
| 29.7 | 48 | 0 0 4 |
| 33.5 | 100 | 1 1 1 |
| 36.0 | 18 | 1 1 2 |
| 50.4 | 33 | 1 1 5 |
| 56.8 | 20 | 1 1 6 |
| 58.2 | 41 | 3 0 0 |
| 63.9 | 9 | 1 1 7 |
| 66.7 | 24 | 3 0 4 |
| 68.9 | 9 | 2 2 1 |


4.
Starting from a crystal structure in the Materials Project, relaxed with GGA-PBE, the X-ray powder pattern of ZrGaRh was computed for CuKα.
No peak broadening, texture or thermal motion is included.

Structural model:
```
data_ZrGaRh
_chemical_formula_sum 'Zr3 Ga3 Rh3'
_cell_length_a 7.3257
_cell_length_b 7.3257
_cell_length_c 3.3411
_cell_angle_alpha 90.00
_cell_angle_beta 90.00
_cell_angle_gamma 120.00
_space_group_name_H-M_alt 'P -6 2 m'
_space_group_IT_number 189
_space_group_name_Hall 'P -6 -2'
loop_
_atom_site_label
_atom_site_type_symbol
_atom_site_fract_x
_atom_site_fract_y
_atom_site_fract_z
Zr1 Zr 0.0000 0.3930 0.0000
Ga1 Ga 0.0000 0.7269 0.5000
Rh1 Rh 0.0000 0.0000 0.0000
Rh2 Rh 0.3333 0.6667 0.5000
```

Largest 10 diffraction maxima, low angle first, 10 to 90 degrees two-theta:
| 2θ (°) | I/Imax | hkl |
| --- | --- | --- |
| 30.2 | 12 | 1 0 1 |
| 36.4 | 100 | 1 1 1 |
| 37.5 | 34 | 2 1 0 |
| 39.2 | 88 | 2 0 1 |
| 42.8 | 78 | 3 0 0 |
| 46.6 | 39 | 2 1 1 |
| 55.0 | 21 | 0 0 2 |
| 70.6 | 38 | 3 2 1 |
| 72.0 | 32 | 3 0 2 |
| 81.1 | 15 | 5 0 1 |


5.
Starting from a crystal structure in the Materials Project, relaxed with GGA-PBE, the X-ray powder pattern of Mg7Si4 was computed for CuKα.
No peak broadening, texture or thermal motion is included.

Structural model:
```
data_Mg7Si4
_chemical_formula_sum 'Mg14 Si8'
_cell_length_a 5.1443
_cell_length_b 6.0453
_cell_length_c 14.5912
_cell_angle_alpha 101.86
_cell_angle_beta 90.64
_cell_angle_gamma 99.50
_space_group_name_H-M_alt 'P 1'
_space_group_IT_number 1
loop_
_space_group_symop_operation_xyz
'x,y,z'
loop_
_atom_site_label
_atom_site_type_symbol
_atom_site_fract_x
_atom_site_fract_y
_atom_site_fract_z
Mg1 Mg 0.0000 0.0000 0.0000
Mg2 Mg 0.0066 0.5082 0.9634
Mg3 Mg 0.2065 0.2687 0.6564
Mg4 Mg 0.2644 0.7325 0.4310
Mg5 Mg 0.2994 0.2320 0.4515
Mg6 Mg 0.4701 0.2428 0.8886
Mg7 Mg 0.4820 0.3629 0.0922
Mg8 Mg 0.5169 0.8564 0.1131
Mg9 Mg 0.5417 0.7437 0.8995
Mg10 Mg 0.6578 0.0318 0.7134
Mg11 Mg 0.7554 0.4941 0.5504
Mg12 Mg 0.7673 0.9065 0.3104
Mg13 Mg 0.7762 0.9980 0.5193
Mg14 Mg 0.8082 0.4030 0.3316
Si1 Si 0.0827 0.9300 0.8254
Si2 Si 0.1327 0.5933 0.7615
Si3 Si 0.2578 0.8327 0.6031
Si4 Si 0.3168 0.1421 0.2748
Si5 Si 0.3276 0.5622 0.2762
Si6 Si 0.6407 0.5326 0.7321
Si7 Si 0.9609 0.2051 0.1466
Si8 Si 0.9705 0.6155 0.1463
```

Largest 10 diffraction maxima, low angle first, 10 to 90 degrees two-theta:
| 2θ (°) | I/Imax | hkl |
| --- | --- | --- |
| 31.4 | 18 | 0 0 5 |
| 32.7 | 45 | 1 -2 0 |
| 33.0 | 57 | 1 -2 2 |
| 35.4 | 81 | 1 0 -5 |
| 36.3 | 100 | 2 0 1 |
| 37.4 | 56 | 1 2 -1 |
| 37.8 | 30 | 1 2 -2 |
| 42.8 | 47 | 1 0 6 |
| 44.1 | 38 | 0 2 4 |
| 49.4 | 18 | -2 2 3 |


6.
Starting from a crystal structure in the Materials Project, relaxed with GGA-PBE, the X-ray powder pattern of KP2Ir2 was computed for CuKα.
No peak broadening, texture or thermal motion is included.

Structural model:
```
data_KP2Ir2
_chemical_formula_sum 'K2 P4 Ir4'
_cell_length_a 3.9641
_cell_length_b 3.9641
_cell_length_c 13.1590
_cell_angle_alpha 90.00
_cell_angle_beta 90.00
_cell_angle_gamma 90.00
_space_group_name_H-M_alt 'I 4/m m m'
_space_group_IT_number 139
_space_group_name_Hall '-I 4 2'
loop_
_atom_site_label
_atom_site_type_symbol
_atom_site_fract_x
_atom_site_fract_y
_atom_site_fract_z
K1 K 0.0000 0.0000 0.0000
P1 P 0.0000 0.0000 0.3482
Ir1 Ir 0.0000 0.5000 0.2500
```

Largest 10 diffraction maxima, low angle first, 10 to 90 degrees two-theta:
| 2θ (°) | I/Imax | hkl |
| --- | --- | --- |
| 13.5 | 100 | 0 0 2 |
| 27.1 | 21 | 0 0 4 |
| 31.9 | 15 | 1 1 0 |
| 34.8 | 52 | 1 1 2 |
| 42.4 | 28 | 1 1 4 |
| 45.8 | 17 | 2 0 0 |
| 47.9 | 17 | 2 0 2 |
| 53.0 | 22 | 1 1 6 |
| 54.0 | 13 | 2 0 4 |
| 77.5 | 10 | 3 1 2 |


7.
Starting from a crystal structure in the Materials Project, relaxed with GGA-PBE, the X-ray powder pattern of Sm2NiSn4 was computed for CuKα.
No peak broadening, texture or thermal motion is included.

Structural model:
```
data_Sm2NiSn4
_chemical_formula_sum 'Sm8 Ni4 Sn16'
_cell_length_a 17.0944
_cell_length_b 4.5128
_cell_length_c 9.0128
_cell_angle_alpha 90.00
_cell_angle_beta 90.00
_cell_angle_gamma 90.00
_space_group_name_H-M_alt 'P n m a'
_space_group_IT_number 62
loop_
_space_group_symop_operation_xyz
'x,y,z'
'-x,-y,-z'
'-x+1/2,-y,z+1/2'
'x+1/2,y,-z+1/2'
'x+1/2,-y+1/2,-z+1/2'
'-x+1/2,y+1/2,z+1/2'
'-x,y+1/2,-z'
'x,-y+1/2,z'
loop_
_atom_site_label
_atom_site_type_symbol
_atom_site_fract_x
_atom_site_fract_y
_atom_site_fract_z
Sm1 Sm 0.1470 0.2500 0.1096
Sm2 Sm 0.1481 0.2500 0.6341
Ni1 Ni 0.0620 0.7500 0.8562
Sn1 Sn 0.0083 0.2500 0.3905
Sn2 Sn 0.0085 0.7500 0.1298
Sn3 Sn 0.1756 0.7500 0.3728
Sn4 Sn 0.2096 0.7500 0.8708
```

Largest 10 diffraction maxima, low angle first, 10 to 90 degrees two-theta:
| 2θ (°) | I/Imax | hkl |
| --- | --- | --- |
| 31.4 | 15 | 6 0 0 |
| 32.2 | 100 | 3 1 2 |
| 32.9 | 9 | 5 0 2 |
| 37.3 | 12 | 6 1 0 |
| 40.0 | 41 | 0 2 0 |
| 51.7 | 15 | 6 2 0 |
| 55.9 | 7 | 6 1 4 |
| 56.4 | 8 | 9 1 2 |
| 57.8 | 13 | 0 2 4 |
| 67.7 | 27 | 3 3 2 |